(1)
Diffraction record for NaHg2I. The X-ray powder pattern is theoretical, not measured: it uses a cell relaxed with GGA-PBE and copper Kα.
Kinematic intensities with the Lorentz-polarization factor, no thermal factor.

Most intense lines, 10° ≤ 2θ ≤ 80°, in order of falling intensity:
2θ (°)  Rel. int.  hkl
31.14  100  1 1 1
26.30  38  0 0 2
13.06  36  0 0 1
48.70  29  2 0 2
49.54  28  1 1 3
40.23  25  2 0 0
67.49  22  3 1 1
79.87  14  3 1 3

Atomic structure:
Unit cell a=4.484 b=4.484 c=6.778 alpha=90.00 beta=90.00 gamma=90.00
Space group P4/mmm (No. 123)
One atom of each set of equivalent atoms:
Na (0.000, 0.000, 0.000) x1
Hg (0.000, 0.500, 0.500) x2
I (0.500, 0.500, 0.000) x1

=====

(2)
Diffraction record for Na2HgPbI6. The X-ray powder pattern is theoretical, not measured: it uses a cell relaxed with GGA-PBE and copper Kα.
Kinematic intensities with the Lorentz-polarization factor, no thermal factor.

Most intense lines, 10° ≤ 2θ ≤ 80°, in order of falling intensity:
2θ (°)  Rel. int.  hkl
25.36  100  2 -1 0
33.32  73  -2 1 3
15.13  71  0 1 -1
38.84  52  3 0 -2
20.75  24  0 1 1
30.52  23  0 2 -2
38.03  19  -3 1 3
52.07  17  -2 4 2

Atomic structure:
Unit cell a=8.026 b=8.032 c=8.592 alpha=90.09 beta=117.76 gamma=119.93
Space group P1 (No. 1)
One atom of each set of equivalent atoms:
Na (0.000, 0.000, 0.000) x1
Na (0.002, 0.501, 0.503) x1
Hg (0.398, 0.698, 0.096) x1
Pb (0.391, 0.195, 0.587) x1
I (0.208, 0.785, 0.286) x1
I (0.210, 0.906, 0.803) x1
I (0.499, 0.592, 0.803) x1
I (0.501, 0.421, 0.287) x1
I (0.865, 0.079, 0.287) x1
I (0.896, 0.303, 0.803) x1

=====

(3)
Diffraction record for Na3TlHg4I12. The X-ray powder pattern is theoretical, not measured: it uses a cell relaxed with GGA-PBE and copper Kα.
Kinematic intensities with the Lorentz-polarization factor, no thermal factor.

Most intense lines, 10° ≤ 2θ ≤ 80°, in order of falling intensity:
2θ (°)  Rel. int.  hkl
21.40  100  0 0 3
18.90  87  2 0 2
23.56  60  1 3 1
17.90  56  2 1 1
21.78  53  1 2 2
35.72  43  5 1 1
46.83  41  0 7 2
39.37  40  5 2 0

Atomic structure:
Unit cell a=16.5009 b=16.5009 c=12.4540 alpha=90.00 beta=90.00 gamma=120.00
Space group R32 (No. 155, hexagonal axes)
One atom of each set of equivalent atoms:
Na (0.0000, 0.5500, 0.0000) x9
Tl (0.0000, 0.0000, 0.0000) x3
Hg (0.0000, 0.0000, 0.5000) x3
Hg (0.0000, 0.4384, 0.5000) x9
I (0.0000, 0.6071, 0.5000) x9
I (0.0000, 0.8333, 0.5000) x9
I (0.0524, 0.2104, 0.1641) x18

=====

(4)
Diffraction record for NaVHgI6. The X-ray powder pattern is theoretical, not measured: it uses a cell relaxed with GGA-PBE and copper Kα.
Kinematic intensities with the Lorentz-polarization factor, no thermal factor.

Most intense lines, 10° ≤ 2θ ≤ 80°, in order of falling intensity:
2θ (°)  Rel. int.  hkl
28.18  100  1 3 1
24.81  95  1 3 -1
18.56  68  0 2 1
30.28  57  2 0 -2
13.47  45  1 1 0
26.61  39  1 1 -2
35.67  39  2 4 -1
40.61  32  2 0 2

Atomic structure:
Unit cell a=7.828 b=13.553 c=7.022 alpha=90.00 beta=106.20 gamma=90.00
Space group C2 (No. 5)
One atom of each set of equivalent atoms:
Na (0.000, 0.000, 0.000) x2
V (0.000, 0.673, 0.000) x2
Hg (0.000, 0.422, 0.500) x2
I (0.164, 0.828, 0.286) x4
I (0.190, 0.530, 0.259) x4
I (0.241, 0.181, 0.178) x4

=====

(5)
Diffraction record for NbHg2I6. The X-ray powder pattern is theoretical, not measured: it uses a cell relaxed with GGA-PBE and copper Kα.
Kinematic intensities with the Lorentz-polarization factor, no thermal factor.

Most intense lines, 10° ≤ 2θ ≤ 80°, in order of falling intensity:
2θ (°)  Rel. int.  hkl
30.41  100  2 -1 6
13.88  69  1 0 1
25.41  67  1 1 3
41.35  38  3 0 0
45.65  30  1 1 12
52.18  19  2 2 6
20.86  17  0 1 5
37.41  16  1 1 9

Atomic structure:
Unit cell a=7.5640 b=7.5640 c=28.0286 alpha=90.00 beta=90.00 gamma=120.00
Space group R3 (No. 146, hexagonal axes)
One atom of each set of equivalent atoms:
Nb (0.0000, 0.0000, 0.0000) x3
Hg (0.0000, 0.0000, 0.1677) x3
Hg (0.0000, 0.0000, 0.3254) x3
I (0.0146, 0.3086, 0.0568) x9
I (0.0357, 0.6699, 0.6066) x9

=====

(6)
Diffraction record for ZrNbHgI. The X-ray powder pattern is theoretical, not measured: it uses a cell relaxed with GGA-PBE and copper Kα.
Kinematic intensities with the Lorentz-polarization factor, no thermal factor.

Most intense lines, 10° ≤ 2θ ≤ 80°, in order of falling intensity:
2θ (°)  Rel. int.  hkl
36.26  100  1 1 1
37.50  46  0 1 2
30.42  32  1 0 1
39.11  27  0 2 0
70.30  19  1 2 3
55.86  19  1 0 3
66.84  17  2 1 2
50.33  16  1 2 1

Atomic structure:
Unit cell a=3.448 b=4.607 c=5.618 alpha=90.00 beta=90.00 gamma=90.00
Space group Pmm2 (No. 25)
One atom of each set of equivalent atoms:
Zr (0.000, 0.000, 0.000) x1
Nb (0.500, 0.000, 0.514) x1
Hg (0.000, 0.500, 0.668) x1
I (0.500, 0.500, 0.189) x1

=====

(7)
Diffraction record for ZrNbHgI. The X-ray powder pattern is theoretical, not measured: it uses a cell relaxed with GGA-PBE and copper Kα.
Kinematic intensities with the Lorentz-polarization factor, no thermal factor.

Most intense lines, 10° ≤ 2θ ≤ 80°, in order of falling intensity:
2θ (°)  Rel. int.  hkl
30.30  100  1 0 -1
38.47  74  1 0 3
28.38  72  0 1 0
38.60  71  0 1 3
34.60  59  0 1 -2
34.71  56  1 0 -2
32.40  54  1 1 1
54.81  51  2 1 0

Atomic structure:
Unit cell a=3.394 b=3.394 c=9.904 alpha=85.52 beta=85.27 gamma=68.14
Space group P1 (No. 1)
One atom of each set of equivalent atoms:
Zr (0.000, 0.000, 0.000) x1
Nb (0.355, 0.360, 0.212) x1
Hg (0.689, 0.697, 0.425) x1
I (0.687, 0.682, 0.780) x1

=====

(8)
Diffraction record for Nd6HgI8. The X-ray powder pattern is theoretical, not measured: it uses a cell relaxed with GGA-PBE and copper Kα.
Kinematic intensities with the Lorentz-polarization factor, no thermal factor.

Most intense lines, 10° ≤ 2θ ≤ 80°, in order of falling intensity:
2θ (°)  Rel. int.  hkl
27.83  100  2 -1 6
38.83  38  1 1 12
40.68  35  3 0 0
50.01  19  2 2 6
66.36  16  5 -1 6
63.75  16  3 0 18
57.50  12  4 -2 12
72.80  12  4 1 12

Atomic structure:
Unit cell a=7.6827 b=7.6827 c=34.9058 alpha=90.00 beta=90.00 gamma=120.00
Space group R-3 (No. 148, hexagonal axes)
One atom of each set of equivalent atoms:
Nd (0.0000, 0.3195, 0.0514) x18
Hg (0.0000, 0.0000, 0.0000) x3
I (0.0000, 0.0000, 0.3333) x6
I (0.0000, 0.3378, 0.8917) x18

=====

(9)
Diffraction record for NdHg2I8. The X-ray powder pattern is theoretical, not measured: it uses a cell relaxed with GGA-PBE and copper Kα.
Kinematic intensities with the Lorentz-polarization factor, no thermal factor.

Most intense lines, 10° ≤ 2θ ≤ 80°, in order of falling intensity:
2θ (°)  Rel. int.  hkl
13.91  100  0 2 0
22.06  73  2 2 -1
42.60  67  0 6 0
20.66  50  2 0 1
24.47  49  0 0 2
32.17  42  1 3 -2
32.42  39  4 2 0
16.82  38  1 1 1

Atomic structure:
Unit cell a=12.490 b=12.730 c=7.412 alpha=90.00 beta=101.03 gamma=90.00
Space group C2/m (No. 12)
One atom of each set of equivalent atoms:
Nd (0.000, 0.000, 0.000) x2
Hg (0.215, 0.000, 0.676) x4
I (0.054, 0.500, 0.216) x4
I (0.102, 0.176, 0.787) x8
I (0.222, 0.000, 0.288) x4

=====

(10)
Diffraction record for NdHgI3. The X-ray powder pattern is theoretical, not measured: it uses a cell relaxed with GGA-PBE and copper Kα.
Kinematic intensities with the Lorentz-polarization factor, no thermal factor.

Most intense lines, 10° ≤ 2θ ≤ 80°, in order of falling intensity:
2θ (°)  Rel. int.  hkl
30.45  100  2 0 5
24.76  87  0 2 1
28.44  65  0 2 4
43.11  61  2 2 0
39.01  41  1 1 9
18.77  39  1 0 4
21.17  35  1 1 0
35.32  32  0 2 7

Atomic structure:
Unit cell a=8.3934 b=8.3934 c=24.8855 alpha=90.00 beta=90.00 gamma=120.00
Space group R32 (No. 155, hexagonal axes)
One atom of each set of equivalent atoms:
Nd (0.0000, 0.0000, 0.1668) x6
Hg (0.0000, 0.0000, 0.3901) x6
I (0.9998, 0.5007, 0.4193) x18

=====

(11)
Diffraction record for Ni5HgI12. The X-ray powder pattern is theoretical, not measured: it uses a cell relaxed with GGA-PBE and copper Kα.
Kinematic intensities with the Lorentz-polarization factor, no thermal factor.

Most intense lines, 10° ≤ 2θ ≤ 80°, in order of falling intensity:
2θ (°)  Rel. int.  hkl
28.26  100  1 3 2
11.96  95  0 0 2
31.36  51  2 0 -3
45.41  45  3 3 -1
44.94  27  0 6 0
39.88  26  1 3 -5
35.32  23  2 0 -4
26.22  23  2 0 -1

Atomic structure:
Unit cell a=6.982 b=12.099 c=14.805 alpha=90.00 beta=90.21 gamma=90.00
Space group C2/m (No. 12)
One atom of each set of equivalent atoms:
Ni (0.000, 0.000, 0.000) x2
Ni (0.000, 0.167, 0.500) x4
Ni (0.000, 0.333, 0.000) x4
Hg (0.000, 0.500, 0.500) x2
I (0.136, 0.000, 0.608) x4
I (0.166, 0.167, 0.900) x8
I (0.166, 0.500, 0.900) x4
I (0.183, 0.318, 0.608) x8

=====

(12)
Diffraction record for NiHg2I6. The X-ray powder pattern is theoretical, not measured: it uses a cell relaxed with GGA-PBE and copper Kα.
Kinematic intensities with the Lorentz-polarization factor, no thermal factor.

Most intense lines, 10° ≤ 2θ ≤ 80°, in order of falling intensity:
2θ (°)  Rel. int.  hkl
26.14  100  1 0 2
40.96  84  1 2 2
18.13  81  0 1 -2
23.73  77  -1 1 1
29.40  60  1 0 -3
25.33  56  0 2 -1
20.27  56  1 0 -1
41.49  52  0 3 -3

Atomic structure:
Unit cell a=4.623 b=7.103 c=11.534 alpha=101.59 beta=93.78 gamma=95.73
Space group P-1 (No. 2)
One atom of each set of equivalent atoms:
Ni (0.000, 0.000, 0.000) x1
Hg (0.169, 0.596, 0.251) x2
I (0.104, 0.178, 0.215) x2
I (0.271, 0.275, 0.602) x2
I (0.311, 0.745, 0.044) x2